Record 1
Simulated powder diffraction line list
Compound: CsMoAuSeS2
Radiation: Cu Kα X-rays
Structure: a crystal structure in OQMD, relaxed with PBE
Peak positions follow from Bragg's law for the DFT cell and can differ from measured ones.

Most intense lines, 2θ from 15° to 90°, low angle first:
2θ/deg, d [Å], I_rel
17.61, 5.037, 30
29.92, 2.987, 100
33.74, 2.656, 19
35.65, 2.519, 28
37.55, 2.395, 17
39.38, 2.288, 33
46.48, 1.954, 14
54.15, 1.694, 19

Cell: 8.389 8.389 10.074 Å, 90.00 90.00 153.69°
Positions (direct):
Cs: 0.244 0.756 0.750
Cs: 0.756 0.244 0.250
Mo: 0.000 0.000 0.000
Mo: 0.000 0.000 0.500
Au: 0.446 0.554 0.250
Au: 0.554 0.446 0.750
Se: 0.066 0.934 0.250
Se: 0.934 0.066 0.750
S: 0.399 0.601 0.027
S: 0.399 0.601 0.473
S: 0.601 0.399 0.527
S: 0.601 0.399 0.973


Record 2
Simulated powder diffraction line list
Compound: CsRb3Au2N2
Radiation: Cu Kα X-rays
Structure: a crystal structure in OQMD, relaxed with PBE
Peak positions follow from Bragg's law for the DFT cell and can differ from measured ones.

Most intense lines, 2θ from 15° to 90°, low angle first:
2θ/deg, d [Å], I_rel
16.03, 5.530, 45
27.62, 3.230, 51
30.14, 2.965, 85
30.32, 2.948, 73
30.46, 2.935, 44
30.70, 2.912, 79
31.55, 2.836, 100
31.97, 2.800, 72

Cell: 5.627 7.025 5.975 Å, 90.00 112.25 90.00°
Positions (direct):
Cs: 0.000 0.000 0.000
Rb: 0.177 0.500 0.205
Rb: 0.342 0.000 0.627
Rb: 0.521 0.500 0.832
Au: 0.759 0.251 0.418
Au: 0.759 0.749 0.418
N: 0.572 0.000 0.245
N: 0.942 0.500 0.600


Record 3
Simulated powder diffraction line list
Compound: Cs3NaSb2Au2
Radiation: Cu Kα X-rays
Structure: a crystal structure in OQMD, relaxed with PBE
Peak positions follow from Bragg's law for the DFT cell and can differ from measured ones.

Most intense lines, 2θ from 15° to 90°, low angle first:
2θ/deg, d [Å], I_rel
15.74, 5.631, 66
26.60, 3.351, 88
28.62, 3.119, 38
28.73, 3.108, 80
28.89, 3.091, 57
29.51, 3.027, 63
33.74, 2.656, 100
49.74, 1.833, 46

Cell: 6.797 7.046 7.079 Å, 90.00 108.65 90.00°
Positions (direct):
Cs: 0.000 0.000 0.000
Cs: 0.037 0.500 0.303
Cs: 0.356 0.000 0.677
Na: 0.652 0.500 0.598
Sb: 0.327 0.500 0.889
Sb: 0.763 0.000 0.429
Au: 0.525 0.254 0.176
Au: 0.525 0.746 0.176


Record 4
Simulated powder diffraction line list
Compound: CsNbAuSe2S
Radiation: Cu Kα X-rays
Structure: a crystal structure in OQMD, relaxed with PBE
Peak positions follow from Bragg's law for the DFT cell and can differ from measured ones.

Most intense lines, 2θ from 15° to 90°, low angle first:
2θ/deg, d [Å], I_rel
28.12, 3.174, 39
29.71, 3.007, 100
33.57, 2.669, 57
35.75, 2.511, 41
40.33, 2.236, 33
46.27, 1.962, 24
53.33, 1.718, 31
54.14, 1.694, 24

Cell: 8.414 8.414 10.046 Å, 90.00 90.00 153.49°
Positions (direct):
Cs: 0.250 0.750 0.750
Cs: 0.750 0.250 0.250
Nb: 0.000 0.000 0.000
Nb: 0.000 0.000 0.500
Au: 0.461 0.539 0.250
Au: 0.539 0.461 0.750
Se: 0.385 0.615 0.029
Se: 0.385 0.615 0.471
Se: 0.615 0.385 0.529
Se: 0.615 0.385 0.971
S: 0.060 0.940 0.250
S: 0.940 0.060 0.750


Record 5
Simulated powder diffraction line list
Compound: CsNdTe3Au
Radiation: Cu Kα X-rays
Structure: a crystal structure in OQMD, relaxed with PBE
Peak positions follow from Bragg's law for the DFT cell and can differ from measured ones.

Most intense lines, 2θ from 15° to 90°, low angle first:
2θ/deg, d [Å], I_rel
25.40, 3.506, 38
26.56, 3.356, 100
29.79, 2.999, 67
30.87, 2.896, 38
36.23, 2.479, 49
41.33, 2.185, 33
47.02, 1.933, 39
47.90, 1.899, 27

Cell: 9.078 9.078 11.585 Å, 90.00 90.00 152.15°
Positions (direct):
Cs: 0.249 0.751 0.750
Cs: 0.751 0.249 0.250
Nd: 0.500 0.500 0.000
Nd: 0.500 0.500 0.500
Te: 0.125 0.875 0.056
Te: 0.125 0.875 0.444
Te: 0.431 0.569 0.250
Te: 0.569 0.431 0.750
Te: 0.875 0.125 0.556
Te: 0.875 0.125 0.944
Au: 0.033 0.967 0.250
Au: 0.967 0.033 0.750


Record 6
Simulated powder diffraction line list
Compound: CsNiAuSe3
Radiation: Cu Kα X-rays
Structure: a crystal structure in OQMD, relaxed with PBE
Peak positions follow from Bragg's law for the DFT cell and can differ from measured ones.

Most intense lines, 2θ from 15° to 90°, low angle first:
2θ/deg, d [Å], I_rel
16.81, 5.274, 22
30.21, 2.958, 100
33.99, 2.637, 47
36.29, 2.475, 26
38.86, 2.318, 36
45.31, 2.001, 27
50.57, 1.805, 19
52.57, 1.741, 29

Cell: 8.517 8.517 10.549 Å, 90.00 90.00 154.85°
Positions (direct):
Cs: 0.230 0.770 0.750
Cs: 0.770 0.230 0.250
Ni: 0.500 0.500 0.000
Ni: 0.500 0.500 0.500
Au: 0.088 0.912 0.250
Au: 0.912 0.088 0.750
Se: 0.093 0.907 0.015
Se: 0.093 0.907 0.485
Se: 0.461 0.539 0.250
Se: 0.539 0.461 0.750
Se: 0.907 0.093 0.515
Se: 0.907 0.093 0.985